[1]
Starting from DFT lattice parameters and positions (GGA-PBE), the powder diffraction line list of AcNdBr6 was computed for Cu Kα (λ = 1.5418 Å).
Neutral-atom scattering factors, no anomalous dispersion.

Main lines, by angle (10 to 90 degrees two-theta):
- (0 1 2), d 5.422, I 100
- (1 0 4), d 3.997, I 46
- (1 1 3), d 3.246, I 82
- (2 -1 6), d 2.506, I 79
- (3 -2 2), d 2.351, I 23
- (3 0 0), d 2.130, I 48

Atomic structure:
Cell: 7.3782 7.3782 20.4949 Å, 90.00 90.00 120.00°
Space group R-3 (No. 148, hexagonal axes)
Unique sites:
Ac 0.0000 0.0000 0.0000 (multiplicity 3)
Nd 0.0000 0.0000 0.5000 (multiplicity 3)
Br 0.0021 0.6774 0.4186 (multiplicity 18)


[2]
Starting from DFT lattice parameters and positions (GGA-PBE), the powder diffraction line list of AcNdTeBr was computed for Cu Kα (λ = 1.5418 Å).
Neutral-atom scattering factors, no anomalous dispersion.

Main lines, by angle (10 to 90 degrees two-theta):
- (2 0 0), d 3.910, I 9
- (2 2 0), d 2.765, I 100
- (4 0 0), d 1.955, I 18
- (4 2 2), d 1.596, I 39
- (4 4 0), d 1.382, I 12
- (6 2 0), d 1.236, I 17

Atomic structure:
Cell: 7.820 7.820 7.820 Å, 90.00 90.00 90.00°
Space group F-43m (No. 216)
Unique sites:
Ac 0.000 0.000 0.000 (multiplicity 4)
Nd 0.000 0.000 0.500 (multiplicity 4)
Te 0.250 0.250 0.250 (multiplicity 4)
Br 0.250 0.250 0.750 (multiplicity 4)


[3]
Starting from DFT lattice parameters and positions (GGA-PBE), the powder diffraction line list of Ac8NiRu3Br4 was computed for Cu Kα (λ = 1.5418 Å).
Neutral-atom scattering factors, no anomalous dispersion.

Main lines, by angle (10 to 90 degrees two-theta):
- (0 0 1), d 8.336, I 25
- (2 2 0), d 3.562, I 25
- (4 0 0), d 3.195, I 100
- (2 2 -3), d 2.576, I 19
- (2 2 2), d 2.392, I 27
- (0 4 0), d 2.146, I 39

Atomic structure:
Cell: 14.866 8.583 9.698 Å, 90.00 120.73 90.00°
Space group C2/m (No. 12)
Unique sites:
Ac 0.019 0.247 0.307 (multiplicity 8)
Ac 0.233 0.000 0.696 (multiplicity 4)
Ac 0.234 0.500 0.693 (multiplicity 4)
Ni 0.000 0.500 0.500 (multiplicity 2)
Ru 0.000 0.000 0.500 (multiplicity 2)
Ru 0.250 0.250 0.500 (multiplicity 4)
Br 0.000 0.000 0.000 (multiplicity 2)
Br 0.000 0.500 0.000 (multiplicity 2)
Br 0.250 0.250 0.000 (multiplicity 4)


[4]
Starting from DFT lattice parameters and positions (GGA-PBE), the powder diffraction line list of AcPb2BrO4 was computed for Cu Kα (λ = 1.5418 Å).
Neutral-atom scattering factors, no anomalous dispersion.

Main lines, by angle (10 to 90 degrees two-theta):
- (1 0 2), d 3.121, I 100
- (1 1 0), d 2.930, I 36
- (2 0 0), d 2.072, I 20
- (1 1 4), d 1.844, I 22
- (2 1 2), d 1.726, I 43
- (3 0 2), d 1.326, I 13

Atomic structure:
Cell: 4.143 4.143 9.491 Å, 90.00 90.00 90.00°
Space group P4/mmm (No. 123)
Unique sites:
Ac 0.000 0.000 0.000 (multiplicity 1)
Pb 0.500 0.500 0.273 (multiplicity 2)
Br 0.000 0.000 0.500 (multiplicity 1)
O 0.000 0.500 0.163 (multiplicity 4)


[5]
Starting from DFT lattice parameters and positions (GGA-PBE), the powder diffraction line list of AcS2Br2O6 was computed for Cu Kα (λ = 1.5418 Å).
Neutral-atom scattering factors, no anomalous dispersion.

Main lines, by angle (10 to 90 degrees two-theta):
- (0 0 1), d 6.578, I 79
- (0 1 1), d 4.287, I 94
- (1 1 0), d 3.263, I 100
- (1 1 1), d 2.923, I 37
- (1 0 2), d 2.843, I 77
- (1 2 1), d 2.032, I 42

Atomic structure:
Cell: 6.5265 6.5265 6.5781 Å, 90.00 90.00 120.00°
Space group P-3m1 (No. 164)
Unique sites:
Ac 0.0000 0.0000 0.0000 (multiplicity 1)
S 0.3333 0.6667 0.9198 (multiplicity 2)
Br 0.3333 0.6667 0.3007 (multiplicity 2)
O 0.2080 0.4161 0.8497 (multiplicity 6)


[6]
Starting from DFT lattice parameters and positions (GGA-PBE), the powder diffraction line list of AcTaBrO4 was computed for Cu Kα (λ = 1.5418 Å).
Neutral-atom scattering factors, no anomalous dispersion.

Main lines, by angle (10 to 90 degrees two-theta):
- (1 1 0), d 6.096, I 31
- (0 0 2), d 3.625, I 33
- (3 1 0), d 3.585, I 80
- (0 2 0), d 3.487, I 100
- (1 1 -2), d 3.274, I 42
- (3 1 -2), d 2.831, I 36

Atomic structure:
Cell: 12.853 6.976 7.433 Å, 90.00 102.73 90.00°
Space group C2/m (No. 12)
Unique sites:
Ac 0.211 0.000 0.327 (multiplicity 4)
Ta 0.127 0.000 0.749 (multiplicity 4)
Br 0.009 0.500 0.158 (multiplicity 4)
O 0.020 0.000 0.285 (multiplicity 4)
O 0.178 0.205 0.626 (multiplicity 8)
O 0.190 0.000 0.998 (multiplicity 4)